Record 1
Diffraction record for Pr2H2N. The powder XRD pattern is calculated, not measured: it uses a crystal structure in Alexandria, relaxed with GGA-PBE and copper Kα.

```
data_Pr2H2N
_chemical_formula_sum 'Pr8 H8 N4'
_cell_length_a 6.3728
_cell_length_b 8.8356
_cell_length_c 6.2477
_cell_angle_alpha 90.00
_cell_angle_beta 90.00
_cell_angle_gamma 90.00
_symmetry_space_group_name_H-M 'I b a m'
_symmetry_Int_Tables_number 72
_symmetry_space_group_name_Hall '-I 2 2c'
loop_
_atom_site_label
_atom_site_type_symbol
_atom_site_fract_x
_atom_site_fract_y
_atom_site_fract_z
Pr1 Pr 0.2304 0.1109 0.0000
H1 H 0.1072 0.3672 0.0000
N1 N 0.0000 0.0000 0.2500
```

Main lines, most intense first (2θ = 15–90°):
- 2θ = 28.43°, rel. 100, (1 2 1)
- 2θ = 50.55°, rel. 31, (0 4 2)
- 2θ = 28.57°, rel. 24, (0 0 2)
- 2θ = 28.00°, rel. 23, (2 0 0)
- 2θ = 40.44°, rel. 21, (2 0 2)
- 2θ = 49.82°, rel. 19, (3 2 1)
- 2θ = 58.83°, rel. 10, (2 4 2)
- 2θ = 50.26°, rel. 10, (2 4 0)
- 2θ = 81.46°, rel. 9, (1 2 5)
- 2θ = 40.85°, rel. 8, (0 4 0)
- 2θ = 66.32°, rel. 8, (3 2 3)
- 2θ = 66.91°, rel. 7, (1 6 1)

Record 2
Diffraction record for Pr2H3N. The powder XRD pattern is calculated, not measured: it uses a crystal structure in Alexandria, relaxed with GGA-PBE and copper Kα.

```
data_Pr2H3N
_chemical_formula_sum 'Pr4 H6 N2'
_cell_length_a 5.6288
_cell_length_b 5.6288
_cell_length_c 5.6288
_cell_angle_alpha 90.00
_cell_angle_beta 90.00
_cell_angle_gamma 90.00
_symmetry_space_group_name_H-M 'P n -3 m'
_symmetry_Int_Tables_number 224
loop_
_symmetry_equiv_pos_as_xyz
'x,y,z'
'-x,-y,-z'
'-y,x+1/2,z+1/2'
'y,-x+1/2,-z+1/2'
'-x+1/2,-y+1/2,z'
'x+1/2,y+1/2,-z'
'y+1/2,-x,z+1/2'
'-y+1/2,x,-z+1/2'
'x,-y+1/2,-z+1/2'
'-x,y+1/2,z+1/2'
'-y,-x,-z'
'y,x,z'
'-x+1/2,y,-z+1/2'
'x+1/2,-y,z+1/2'
'y+1/2,x+1/2,-z'
'-y+1/2,-x+1/2,z'
'z,x,y'
'-z,-x,-y'
'z+1/2,-y,x+1/2'
'-z+1/2,y,-x+1/2'
'z,-x+1/2,-y+1/2'
'-z,x+1/2,y+1/2'
'z+1/2,y+1/2,-x'
'-z+1/2,-y+1/2,x'
'-z+1/2,x,-y+1/2'
'z+1/2,-x,y+1/2'
'-z,-y,-x'
'z,y,x'
'-z+1/2,-x+1/2,y'
'z+1/2,x+1/2,-y'
'-z,y+1/2,x+1/2'
'z,-y+1/2,-x+1/2'
'y,z,x'
'-y,-z,-x'
'x+1/2,z+1/2,-y'
'-x+1/2,-z+1/2,y'
'-y+1/2,z,-x+1/2'
'y+1/2,-z,x+1/2'
'-x,z+1/2,y+1/2'
'x,-z+1/2,-y+1/2'
'-y+1/2,-z+1/2,x'
'y+1/2,z+1/2,-x'
'-x,-z,-y'
'x,z,y'
'y,-z+1/2,-x+1/2'
'-y,z+1/2,x+1/2'
'x+1/2,-z,y+1/2'
'-x+1/2,z,-y+1/2'
loop_
_atom_site_label
_atom_site_type_symbol
_atom_site_fract_x
_atom_site_fract_y
_atom_site_fract_z
Pr1 Pr 0.0000 0.0000 0.0000
H1 H 0.2500 0.2500 0.7500
N1 N 0.2500 0.2500 0.2500
```

Main lines, most intense first (2θ = 15–90°):
- 2θ = 27.45°, rel. 100, (1 1 1)
- 2θ = 54.03°, rel. 46, (3 1 1)
- 2θ = 31.80°, rel. 45, (2 0 0)
- 2θ = 45.58°, rel. 42, (2 2 0)
- 2θ = 73.31°, rel. 18, (3 3 1)
- 2θ = 75.54°, rel. 16, (4 2 0)
- 2θ = 84.28°, rel. 14, (4 2 2)
- 2θ = 56.65°, rel. 12, (2 2 2)
- 2θ = 66.44°, rel. 7, (4 0 0)
- 2θ = 22.34°, rel. 1, (1 1 0)

Record 3
Diffraction record for Pr7HN5. The powder XRD pattern is calculated, not measured: it uses a crystal structure in Alexandria, relaxed with GGA-PBE and copper Kα.

```
data_Pr7HN5
_chemical_formula_sum 'Pr28 H4 N20'
_cell_length_a 3.6600
_cell_length_b 12.3984
_cell_length_c 22.4909
_cell_angle_alpha 90.00
_cell_angle_beta 90.00
_cell_angle_gamma 90.00
_symmetry_space_group_name_H-M 'C m c m'
_symmetry_Int_Tables_number 63
_symmetry_space_group_name_Hall '-C 2c 2'
loop_
_atom_site_label
_atom_site_type_symbol
_atom_site_fract_x
_atom_site_fract_y
_atom_site_fract_z
Pr1 Pr 0.0000 0.0246 0.2500
Pr2 Pr 0.0000 0.1386 0.5338
Pr3 Pr 0.0000 0.3238 0.1683
Pr4 Pr 0.0000 0.4155 0.6003
H1 H 0.0000 0.1662 0.7500
N1 N 0.0000 0.0546 0.6396
N2 N 0.0000 0.2258 0.0734
N3 N 0.0000 0.5000 0.0000
```

Main lines, most intense first (2θ = 15–90°):
- 2θ = 31.36°, rel. 100, (0 2 7)
- 2θ = 30.01°, rel. 89, (1 1 4)
- 2θ = 33.67°, rel. 76, (1 3 2)
- 2θ = 34.86°, rel. 53, (1 3 3)
- 2θ = 29.08°, rel. 43, (0 4 1)
- 2θ = 32.35°, rel. 39, (1 1 5)
- 2θ = 28.07°, rel. 34, (1 1 3)
- 2θ = 27.81°, rel. 34, (0 2 6)
- 2θ = 60.06°, rel. 33, (2 2 7)
- 2θ = 50.70°, rel. 29, (1 5 6)
- 2θ = 48.76°, rel. 28, (1 5 5)
- 2θ = 49.83°, rel. 26, (2 0 0)

Record 4
Diffraction record for Pr2TaHN3. The powder XRD pattern is calculated, not measured: it uses a crystal structure in Alexandria, relaxed with GGA-PBE and copper Kα.

```
data_Pr2TaHN3
_chemical_formula_sum 'Pr4 Ta2 H2 N6'
_cell_length_a 3.7039
_cell_length_b 4.1029
_cell_length_c 12.9853
_cell_angle_alpha 90.00
_cell_angle_beta 90.00
_cell_angle_gamma 90.00
_symmetry_space_group_name_H-M 'I m m m'
_symmetry_Int_Tables_number 71
_symmetry_space_group_name_Hall '-I 2 2'
loop_
_atom_site_label
_atom_site_type_symbol
_atom_site_fract_x
_atom_site_fract_y
_atom_site_fract_z
Pr1 Pr 0.0000 0.0000 0.1503
Ta1 Ta 0.0000 0.0000 0.5000
H1 H 0.0000 0.5000 0.0000
N1 N 0.0000 0.0000 0.3386
N2 N 0.0000 0.5000 0.5000
```

Main lines, most intense first (2θ = 15–90°):
- 2θ = 32.57°, rel. 100, (1 1 0)
- 2θ = 30.01°, rel. 91, (0 1 3)
- 2θ = 31.80°, rel. 89, (1 0 3)
- 2θ = 55.43°, rel. 38, (1 2 3)
- 2θ = 53.92°, rel. 38, (1 1 6)
- 2θ = 58.71°, rel. 29, (2 1 3)
- 2θ = 44.15°, rel. 24, (0 2 0)
- 2θ = 41.74°, rel. 23, (0 0 6)
- 2θ = 49.20°, rel. 17, (2 0 0)
- 2θ = 62.37°, rel. 13, (0 2 6)
- 2θ = 68.22°, rel. 13, (2 2 0)
- 2θ = 83.27°, rel. 12, (2 2 6)

Record 5
Diffraction record for HPtN3. The powder XRD pattern is calculated, not measured: it uses a crystal structure in Alexandria, relaxed with GGA-PBE and copper Kα.

```
data_HPtN3
_chemical_formula_sum 'H1 Pt1 N3'
_cell_length_a 3.8580
_cell_length_b 3.8580
_cell_length_c 3.8580
_cell_angle_alpha 90.00
_cell_angle_beta 90.00
_cell_angle_gamma 90.00
_symmetry_space_group_name_H-M 'P m -3 m'
_symmetry_Int_Tables_number 221
_symmetry_space_group_name_Hall '-P 4 2 3'
loop_
_atom_site_label
_atom_site_type_symbol
_atom_site_fract_x
_atom_site_fract_y
_atom_site_fract_z
H1 H 0.0000 0.0000 0.0000
Pt1 Pt 0.5000 0.5000 0.5000
N1 N 0.0000 0.5000 0.5000
```

Main lines, most intense first (2θ = 15–90°):
- 2θ = 23.05°, rel. 100, (1 0 0)
- 2θ = 32.83°, rel. 63, (1 1 0)
- 2θ = 53.08°, rel. 42, (2 1 0)
- 2θ = 58.61°, rel. 25, (2 1 1)
- 2θ = 73.66°, rel. 20, (3 0 0)
- 2θ = 47.11°, rel. 19, (2 0 0)
- 2θ = 40.50°, rel. 17, (1 1 1)
- 2θ = 68.83°, rel. 12, (2 2 0)
- 2θ = 78.38°, rel. 11, (3 1 0)
- 2θ = 83.02°, rel. 8, (3 1 1)
- 2θ = 87.61°, rel. 4, (2 2 2)

Record 6
Diffraction record for HPtSeN2. The powder XRD pattern is calculated, not measured: it uses a crystal structure in Alexandria, relaxed with GGA-PBE and copper Kα.

```
data_HPtSeN2
_chemical_formula_sum 'H1 Pt1 Se1 N2'
_cell_length_a 3.7270
_cell_length_b 3.7270
_cell_length_c 5.7472
_cell_angle_alpha 90.00
_cell_angle_beta 90.00
_cell_angle_gamma 90.00
_symmetry_space_group_name_H-M 'P 4/m m m'
_symmetry_Int_Tables_number 123
_symmetry_space_group_name_Hall '-P 4 2'
loop_
_atom_site_label
_atom_site_type_symbol
_atom_site_fract_x
_atom_site_fract_y
_atom_site_fract_z
H1 H 0.0000 0.0000 0.0000
Pt1 Pt 0.5000 0.5000 0.5000
Se1 Se 0.5000 0.5000 0.0000
N1 N 0.0000 0.5000 0.5000
```

Main lines, most intense first (2θ = 15–90°):
- 2θ = 23.88°, rel. 100, (1 0 0)
- 2θ = 39.60°, rel. 54, (1 0 2)
- 2θ = 15.42°, rel. 37, (0 0 1)
- 2θ = 34.02°, rel. 34, (1 1 0)
- 2θ = 31.12°, rel. 32, (0 0 2)
- 2θ = 46.77°, rel. 28, (1 1 2)
- 2θ = 64.65°, rel. 26, (2 1 2)
- 2θ = 28.54°, rel. 22, (1 0 1)
- 2θ = 55.10°, rel. 21, (2 1 0)
- 2θ = 59.08°, rel. 20, (2 0 2)
- 2θ = 48.87°, rel. 18, (2 0 0)
- 2θ = 70.20°, rel. 10, (1 0 4)

Record 7
Diffraction record for V6HPt2N. The powder XRD pattern is calculated, not measured: it uses a crystal structure in Alexandria, relaxed with GGA-PBE and copper Kα.

```
data_V6HPt2N
_chemical_formula_sum 'V24 H4 Pt8 N4'
_cell_length_a 7.6954
_cell_length_b 7.8421
_cell_length_c 7.8703
_cell_angle_alpha 90.00
_cell_angle_beta 90.00
_cell_angle_gamma 90.00
_symmetry_space_group_name_H-M 'F m m m'
_symmetry_Int_Tables_number 69
_symmetry_space_group_name_Hall '-F 2 2'
loop_
_atom_site_label
_atom_site_type_symbol
_atom_site_fract_x
_atom_site_fract_y
_atom_site_fract_z
V1 V 0.0000 0.0000 0.2481
V2 V 0.0000 0.2475 0.0000
V3 V 0.2435 0.0000 0.0000
H1 H 0.0000 0.0000 0.0000
Pt1 Pt 0.2500 0.2500 0.2500
N1 N 0.0000 0.0000 0.5000
```

Main lines, most intense first (2θ = 15–90°):
- 2θ = 40.04°, rel. 100, (2 2 2)
- 2θ = 32.58°, rel. 35, (2 2 0)
- 2θ = 22.64°, rel. 33, (0 2 0)
- 2θ = 46.13°, rel. 18, (0 0 4)
- 2θ = 32.23°, rel. 18, (0 2 2)
- 2θ = 46.31°, rel. 18, (0 4 0)
- 2θ = 47.25°, rel. 17, (4 0 0)
- 2θ = 23.12°, rel. 16, (2 0 0)
- 2θ = 81.28°, rel. 12, (2 2 6)
- 2θ = 81.54°, rel. 12, (2 6 2)
- 2θ = 82.91°, rel. 11, (6 2 2)
- 2θ = 86.41°, rel. 11, (4 4 4)

Record 8
Diffraction record for Pu9H14N2. The powder XRD pattern is calculated, not measured: it uses a crystal structure in Alexandria, relaxed with GGA-PBE and copper Kα.

```
data_Pu9H14N2
_chemical_formula_sum 'Pu9 H14 N2'
_cell_length_a 6.4833
_cell_length_b 6.4833
_cell_length_c 9.4393
_cell_angle_alpha 90.00
_cell_angle_beta 90.00
_cell_angle_gamma 120.00
_symmetry_space_group_name_H-M 'P -3'
_symmetry_Int_Tables_number 147
loop_
_symmetry_equiv_pos_as_xyz
'x,y,z'
'-x,-y,-z'
'-y,x-y,z'
'y,-x+y,-z'
'-x+y,-x,z'
'x-y,x,-z'
loop_
_atom_site_label
_atom_site_type_symbol
_atom_site_fract_x
_atom_site_fract_y
_atom_site_fract_z
Pu1 Pu 0.0000 0.0000 0.0000
Pu2 Pu 0.0058 0.3376 0.3315
Pu3 Pu 0.3333 0.6667 0.0175
H1 H 0.0000 0.0000 0.2426
H2 H 0.0010 0.6683 0.4215
H3 H 0.0142 0.6757 0.9134
N1 N 0.3333 0.6667 0.2576
```

Main lines, most intense first (2θ = 15–90°):
- 2θ = 29.13°, rel. 100, (2 -1 1)
- 2θ = 33.54°, rel. 66, (1 1 2)
- 2θ = 28.37°, rel. 35, (0 0 3)
- 2θ = 57.28°, rel. 31, (3 0 3)
- 2θ = 47.67°, rel. 27, (2 -1 4)
- 2θ = 48.65°, rel. 26, (3 0 0)
- 2θ = 56.40°, rel. 15, (1 1 5)
- 2θ = 57.71°, rel. 15, (2 2 1)
- 2θ = 60.38°, rel. 13, (4 -2 2)
- 2θ = 78.76°, rel. 13, (5 -1 1)
- 2θ = 81.09°, rel. 11, (4 1 2)
- 2θ = 79.61°, rel. 11, (3 0 6)